[1]
MgCo4Cu3O12: calculated X-ray powder pattern (Cu Ka), based on a crystal structure in the Materials Project, relaxed with GGA+U.
Peak positions follow from Bragg's law for the DFT cell and can differ from measured ones.

Peak list (10 most intense, 15 to 90 degrees two-theta, sorted by position)
| two_theta | intensity |
| --- | --- |
| 34.79 | 53.0 |
| 35.06 | 100.0 |
| 35.16 | 99.0 |
| 35.27 | 48.3 |
| 50.28 | 25.7 |
| 50.48 | 26.4 |
| 50.62 | 25.4 |
| 62.62 | 36.9 |
| 63.20 | 24.2 |
| 63.34 | 23.6 |

Structural model:
abc: 6.2267 6.2496 6.2902
angles: 109.26 109.41 109.35
Atoms (fractional coordinates):
Mg 0.0000 0.0000 0.0000
Co 0.0434 0.0724 0.5367
Co 0.0444 0.5633 0.0372
Co 0.5338 0.5615 0.5267
Co 0.5425 0.0720 0.0374
Cu 0.0413 0.5704 0.5373
Cu 0.5416 0.0678 0.5359
Cu 0.5451 0.5713 0.0355
O 0.1804 0.3906 0.8712
O 0.2164 0.9357 0.7334
O 0.2195 0.5554 0.3513
O 0.3421 0.9058 0.1709
O 0.3567 0.2484 0.5321
O 0.5265 0.3763 0.2050
O 0.5700 0.7699 0.8684
O 0.7290 0.8882 0.5436
O 0.7410 0.2304 0.9000
O 0.8645 0.2056 0.3446
O 0.8652 0.5916 0.7270
O 0.9111 0.7564 0.1961

[2]
MgCoCuO2: calculated X-ray powder pattern (Cu Ka), based on a crystal structure in the Materials Project, relaxed with GGA+U.
Peak positions follow from Bragg's law for the DFT cell and can differ from measured ones.

Peak list (10 most intense, 15 to 90 degrees two-theta, sorted by position)
| two_theta | intensity |
| --- | --- |
| 32.60 | 100.0 |
| 35.35 | 50.7 |
| 35.68 | 27.2 |
| 36.26 | 54.5 |
| 37.56 | 41.2 |
| 38.91 | 18.1 |
| 45.07 | 17.7 |
| 57.28 | 15.2 |
| 57.92 | 29.3 |
| 63.17 | 16.1 |

Structural model:
abc: 3.1864 3.1864 7.9123
angles: 103.50 103.50 60.63
Atoms (fractional coordinates):
Mg 0.0000 0.0000 0.0000
Co 0.5441 0.5441 0.6488
Cu 0.7634 0.7634 0.3077
O 0.6311 0.6311 0.9112
O 0.8460 0.8460 0.5621

[3]
Mg14CoCuO16: calculated X-ray powder pattern (Cu Ka), based on a crystal structure in the Materials Project, relaxed with GGA+U.
Peak positions follow from Bragg's law for the DFT cell and can differ from measured ones.

Peak list (10 most intense, 15 to 90 degrees two-theta, sorted by position)
| two_theta | intensity |
| --- | --- |
| 20.87 | 7.5 |
| 25.64 | 5.6 |
| 29.69 | 6.3 |
| 36.57 | 19.4 |
| 39.62 | 4.1 |
| 42.48 | 100.0 |
| 47.79 | 3.2 |
| 61.64 | 56.5 |
| 73.86 | 10.7 |
| 77.74 | 17.1 |

Structural model:
abc: 8.5122 8.5122 4.2548
angles: 90.00 90.00 90.00
Atoms (fractional coordinates):
Mg 0.0000 0.2479 0.0000
Mg 0.0000 0.5000 0.5000
Mg 0.0000 0.7521 0.0000
Mg 0.2479 0.0000 0.0000
Mg 0.2501 0.5000 0.0000
Mg 0.2507 0.2507 0.5000
Mg 0.2507 0.7493 0.5000
Mg 0.5000 0.0000 0.5000
Mg 0.5000 0.2501 0.0000
Mg 0.5000 0.7499 0.0000
Mg 0.7493 0.2507 0.5000
Mg 0.7493 0.7493 0.5000
Mg 0.7499 0.5000 0.0000
Mg 0.7521 0.0000 0.0000
Co 0.0000 0.0000 0.5000
Cu 0.5000 0.5000 0.5000
O 0.0000 0.0000 0.0000
O 0.0000 0.2505 0.5000
O 0.0000 0.5000 0.0000
O 0.0000 0.7495 0.5000
O 0.2457 0.5000 0.5000
O 0.2505 0.0000 0.5000
O 0.2506 0.2506 0.0000
O 0.2506 0.7494 0.0000
O 0.5000 0.0000 0.0000
O 0.5000 0.2457 0.5000
O 0.5000 0.5000 0.0000
O 0.5000 0.7543 0.5000
O 0.7494 0.2506 0.0000
O 0.7494 0.7494 0.0000
O 0.7495 0.0000 0.5000
O 0.7543 0.5000 0.5000

[4]
MgCoCuO2: calculated X-ray powder pattern (Cu Ka), based on a crystal structure in the Materials Project, relaxed with GGA+U.
Peak positions follow from Bragg's law for the DFT cell and can differ from measured ones.

Peak list (10 most intense, 15 to 90 degrees two-theta, sorted by position)
| two_theta | intensity |
| --- | --- |
| 33.89 | 42.4 |
| 34.60 | 81.0 |
| 35.83 | 67.8 |
| 37.11 | 100.0 |
| 38.46 | 41.3 |
| 39.37 | 68.0 |
| 43.86 | 27.6 |
| 47.08 | 34.4 |
| 59.37 | 46.8 |
| 63.73 | 29.2 |

Structural model:
abc: 3.1140 3.1140 7.7025
angles: 100.92 100.92 59.01
Atoms (fractional coordinates):
Mg 0.0000 0.0000 0.0000
Co 0.7852 0.7852 0.3306
Cu 0.2299 0.2299 0.6950
O 0.1507 0.1507 0.4409
O 0.3661 0.3661 0.1161

[5]
MgCo4Cu2O8: calculated X-ray powder pattern (Cu Ka), based on a crystal structure in the Materials Project, relaxed with GGA+U.
Peak positions follow from Bragg's law for the DFT cell and can differ from measured ones.

Peak list (10 most intense, 15 to 90 degrees two-theta, sorted by position)
| two_theta | intensity |
| --- | --- |
| 17.17 | 21.1 |
| 30.48 | 100.0 |
| 34.80 | 18.5 |
| 35.30 | 29.2 |
| 35.89 | 41.9 |
| 36.37 | 36.4 |
| 36.64 | 22.9 |
| 44.64 | 20.4 |
| 57.01 | 27.1 |
| 58.62 | 23.1 |

Structural model:
abc: 6.4801 6.4801 5.8717
angles: 115.02 115.02 51.42
Atoms (fractional coordinates):
Mg 0.0000 0.0000 0.0000
Co 0.0328 0.0328 0.5115
Co 0.4631 0.9488 0.1591
Co 0.7548 0.7548 0.6972
Co 0.9488 0.4631 0.1591
Cu 0.3981 0.3981 0.6037
Cu 0.4014 0.4014 0.0988
O 0.1426 0.1426 0.8968
O 0.1544 0.1544 0.3409
O 0.1549 0.6230 0.8399
O 0.1661 0.6332 0.3505
O 0.6230 0.1549 0.8399
O 0.6332 0.1661 0.3505
O 0.6729 0.6729 0.3333
O 0.6892 0.6892 0.9343

[6]
Mg6CoCuO8: calculated X-ray powder pattern (Cu Ka), based on a crystal structure in the Materials Project, relaxed with GGA+U.
Peak positions follow from Bragg's law for the DFT cell and can differ from measured ones.

Peak list (10 most intense, 15 to 90 degrees two-theta, sorted by position)
| two_theta | intensity |
| --- | --- |
| 20.63 | 13.4 |
| 21.13 | 24.7 |
| 29.70 | 22.1 |
| 36.73 | 45.2 |
| 41.97 | 53.0 |
| 43.02 | 100.0 |
| 61.66 | 57.9 |
| 62.47 | 28.2 |
| 74.71 | 14.2 |
| 78.12 | 26.1 |

Structural model:
abc: 4.2053 4.2053 8.6108
angles: 90.00 90.00 90.00
Atoms (fractional coordinates):
Mg 0.0000 0.0000 0.0000
Mg 0.0000 0.0000 0.5000
Mg 0.0000 0.5000 0.2480
Mg 0.0000 0.5000 0.7520
Mg 0.5000 0.0000 0.2480
Mg 0.5000 0.0000 0.7520
Co 0.5000 0.5000 0.0000
Cu 0.5000 0.5000 0.5000
O 0.0000 0.0000 0.2507
O 0.0000 0.0000 0.7493
O 0.0000 0.5000 0.0000
O 0.0000 0.5000 0.5000
O 0.5000 0.0000 0.0000
O 0.5000 0.0000 0.5000
O 0.5000 0.5000 0.2294
O 0.5000 0.5000 0.7706

[7]
Mn3CoCu2P6O24: calculated X-ray powder pattern (Cu Ka), based on a crystal structure in the Materials Project, relaxed with GGA+U.
Peak positions follow from Bragg's law for the DFT cell and can differ from measured ones.

Peak list (10 most intense, 15 to 90 degrees two-theta, sorted by position)
| two_theta | intensity |
| --- | --- |
| 20.97 | 100.0 |
| 24.62 | 84.6 |
| 25.75 | 18.8 |
| 33.39 | 75.9 |
| 36.75 | 35.3 |
| 47.94 | 34.4 |
| 50.48 | 24.3 |
| 57.49 | 16.7 |
| 57.56 | 24.9 |
| 64.04 | 18.8 |

Structural model:
abc: 8.4904 8.4904 8.4904
angles: 59.86 59.86 59.86
Atoms (fractional coordinates):
Mn 0.0000 0.0000 0.0000
Mn 0.2160 0.2160 0.2160
Mn 0.5005 0.5005 0.5005
Co 0.7176 0.7176 0.7176
Cu 0.3580 0.3580 0.3580
Cu 0.8563 0.8563 0.8563
P 0.1055 0.3993 0.8192
P 0.3231 0.8955 0.6092
P 0.3993 0.8192 0.1055
P 0.6092 0.3231 0.8955
P 0.8192 0.1055 0.3993
P 0.8955 0.6092 0.3231
O 0.0556 0.2352 0.8479
O 0.0948 0.4387 0.3042
O 0.1219 0.9127 0.7761
O 0.1600 0.3685 0.9816
O 0.2352 0.8479 0.0556
O 0.2767 0.4129 0.6217
O 0.3042 0.0948 0.4387
O 0.3482 0.7352 0.5556
O 0.3685 0.9816 0.1600
O 0.4129 0.6217 0.2767
O 0.4387 0.3042 0.0948
O 0.4841 0.8685 0.6604
O 0.5556 0.3482 0.7352
O 0.5968 0.8026 0.9376
O 0.6217 0.2767 0.4129
O 0.6604 0.4841 0.8685
O 0.7352 0.5556 0.3482
O 0.7761 0.1219 0.9127
O 0.8026 0.9376 0.5968
O 0.8479 0.0556 0.2352
O 0.8685 0.6604 0.4841
O 0.9127 0.7761 0.1219
O 0.9376 0.5968 0.8026
O 0.9816 0.1600 0.3685

[8]
Co9Cu3O16: calculated X-ray powder pattern (Cu Ka), based on a crystal structure in the Materials Project, relaxed with GGA+U.
Peak positions follow from Bragg's law for the DFT cell and can differ from measured ones.

Peak list (10 most intense, 15 to 90 degrees two-theta, sorted by position)
| two_theta | intensity |
| --- | --- |
| 30.68 | 32.9 |
| 30.78 | 32.2 |
| 36.05 | 97.6 |
| 36.31 | 96.8 |
| 36.49 | 100.0 |
| 57.92 | 31.9 |
| 58.43 | 46.7 |
| 63.88 | 41.5 |
| 64.12 | 41.4 |
| 64.45 | 40.8 |

Structural model:
abc: 5.8100 5.8100 8.2047
angles: 90.00 90.00 90.91
Atoms (fractional coordinates):
Co 0.0000 0.0000 0.0000
Co 0.0003 0.2492 0.3772
Co 0.9997 0.7508 0.3772
Co 0.2483 0.5003 0.1276
Co 0.2492 0.0003 0.6228
Co 0.5003 0.2483 0.8724
Co 0.4997 0.7517 0.8724
Co 0.7508 0.9997 0.6228
Co 0.7517 0.4997 0.1276
Cu 0.0000 0.5000 0.7490
Cu 0.5000 0.0000 0.2510
Cu 0.5000 0.5000 0.5000
O 0.0035 0.2205 0.6091
O 0.0036 0.7302 0.1408
O 0.2192 0.5039 0.3639
O 0.2205 0.0035 0.3909
O 0.2705 0.4958 0.8867
O 0.2698 0.9964 0.8592
O 0.4958 0.2705 0.1133
O 0.4961 0.7808 0.6361
O 0.5039 0.2192 0.6361
O 0.5042 0.7295 0.1133
O 0.7302 0.0036 0.8592
O 0.7295 0.5042 0.8867
O 0.7795 0.9965 0.3909
O 0.7808 0.4961 0.3639
O 0.9964 0.2698 0.1408
O 0.9965 0.7795 0.6091

[9]
CoCu2O6: calculated X-ray powder pattern (Cu Ka), based on a crystal structure in the Materials Project, relaxed with GGA+U.
Peak positions follow from Bragg's law for the DFT cell and can differ from measured ones.

Peak list (10 most intense, 15 to 90 degrees two-theta, sorted by position)
| two_theta | intensity |
| --- | --- |
| 17.72 | 100.0 |
| 27.81 | 69.5 |
| 33.17 | 41.5 |
| 36.70 | 22.9 |
| 45.01 | 50.0 |
| 55.20 | 7.5 |
| 57.46 | 7.1 |
| 58.85 | 24.2 |
| 61.58 | 17.3 |
| 73.37 | 11.3 |

Structural model:
abc: 6.4847 5.9458 5.2226
angles: 70.65 59.90 49.45
Atoms (fractional coordinates):
Co 0.0000 0.0000 0.0000
Cu 0.3317 0.6683 0.3317
Cu 0.6683 0.3317 0.6683
O 0.0458 0.7221 0.2779
O 0.2779 0.9542 0.0458
O 0.3818 0.3818 0.6182
O 0.6182 0.6182 0.3818
O 0.7221 0.0458 0.9542
O 0.9542 0.2779 0.7221

[10]
Co9Cu3O16: calculated X-ray powder pattern (Cu Ka), based on a crystal structure in the Materials Project, relaxed with GGA+U.
Peak positions follow from Bragg's law for the DFT cell and can differ from measured ones.

Peak list (10 most intense, 15 to 90 degrees two-theta, sorted by position)
| two_theta | intensity |
| --- | --- |
| 18.53 | 12.1 |
| 30.48 | 40.0 |
| 35.88 | 100.0 |
| 35.95 | 31.1 |
| 43.64 | 23.2 |
| 54.20 | 10.0 |
| 57.72 | 29.3 |
| 57.80 | 15.6 |
| 63.32 | 28.0 |
| 63.52 | 28.1 |

Structural model:
abc: 10.1859 10.1859 10.1859
angles: 33.43 33.43 33.43
Atoms (fractional coordinates):
Co 0.0000 0.0000 0.0000
Co 0.0643 0.0643 0.5640
Co 0.0643 0.5640 0.0643
Co 0.0648 0.5622 0.5622
Co 0.1268 0.1268 0.1268
Co 0.3130 0.3130 0.3130
Co 0.5622 0.0648 0.5622
Co 0.5622 0.5622 0.0648
Co 0.5640 0.0643 0.0643
Cu 0.5023 0.5023 0.5023
Cu 0.6254 0.6254 0.6254
Cu 0.8135 0.8135 0.8135
O 0.1672 0.7057 0.7057
O 0.1963 0.1963 0.1963
O 0.2033 0.2033 0.6546
O 0.2033 0.6546 0.2033
O 0.4203 0.4203 0.9715
O 0.4203 0.9715 0.4203
O 0.4344 0.4344 0.4344
O 0.4568 0.9267 0.9267
O 0.6546 0.2033 0.2033
O 0.6924 0.6924 0.6924
O 0.7057 0.1672 0.7057
O 0.7057 0.7057 0.1672
O 0.9267 0.4568 0.9267
O 0.9267 0.9267 0.4568
O 0.9314 0.9314 0.9314
O 0.9715 0.4203 0.4203

[11]
Co11CuO16: calculated X-ray powder pattern (Cu Ka), based on a crystal structure in the Materials Project, relaxed with GGA+U.
Peak positions follow from Bragg's law for the DFT cell and can differ from measured ones.

Peak list (10 most intense, 15 to 90 degrees two-theta, sorted by position)
| two_theta | intensity |
| --- | --- |
| 18.42 | 14.4 |
| 30.27 | 24.1 |
| 30.39 | 24.2 |
| 35.65 | 55.6 |
| 35.76 | 100.0 |
| 43.40 | 22.4 |
| 57.34 | 22.3 |
| 57.49 | 31.2 |
| 63.04 | 24.5 |
| 63.23 | 36.9 |

Structural model:
abc: 5.8805 5.9154 8.3220
angles: 90.00 90.20 90.00
Atoms (fractional coordinates):
Co 0.0000 0.0000 0.0000
Co 0.0000 0.5000 0.5000
Co 0.2479 0.0000 0.6265
Co 0.2476 0.2497 0.2489
Co 0.2476 0.7503 0.2489
Co 0.2498 0.5000 0.8793
Co 0.5000 0.5000 0.5000
Co 0.7502 0.5000 0.1207
Co 0.7521 0.0000 0.3735
Co 0.7524 0.2497 0.7511
Co 0.7524 0.7503 0.7511
Cu 0.5000 0.0000 0.0000
O 0.0165 0.5000 0.2551
O 0.0205 0.0000 0.2316
O 0.2398 0.2242 0.0107
O 0.2398 0.7758 0.0107
O 0.2494 0.2678 0.4890
O 0.2494 0.7322 0.4890
O 0.4767 0.5000 0.2557
O 0.4813 0.0000 0.2420
O 0.5187 0.0000 0.7580
O 0.5233 0.5000 0.7443
O 0.7506 0.2678 0.5110
O 0.7506 0.7322 0.5110
O 0.7602 0.2242 0.9893
O 0.7602 0.7758 0.9893
O 0.9795 0.0000 0.7684
O 0.9835 0.5000 0.7449